This entry pairs a crystal structure of TmSi2Sn2Pt7 with its computed powder X-ray diffraction pattern. Radiation: Cu Kα (λ = 1.5418 Å). Structure: a crystal structure in Alexandria, relaxed with PBE.

The 10 most intense peaks (2θ from 5° to 70°), most intense first:
two_theta	intensity
5.84	100
36.86	88
46.09	53
34.31	37
32.69	31
44.15	30
23.50	23
11.69	22
29.49	19
41.75	18

Structure:
a = 3.938 Å, b = 3.938 Å, c = 15.391 Å
α = 97.23°, β = 97.23°, γ = 90.03°
Fractional positions:
Tm1 0.000 0.000 0.000
Si1 0.384 0.384 0.764
Si2 0.616 0.616 0.236
Sn1 0.211 0.211 0.422
Sn2 0.789 0.789 0.578
Pt1 0.071 0.571 0.146
Pt2 0.304 0.304 0.609
Pt3 0.429 0.929 0.854
Pt4 0.500 0.500 0.000
Pt5 0.571 0.071 0.146
Pt6 0.696 0.696 0.391
Pt7 0.929 0.429 0.854